(1)
Theoretical X-ray diffraction stick pattern of KIO3 for CuKα, from a GGA-PBE-relaxed structure.
Lines closer than 0.1° are merged.

Structure:
a b c (Å): 6.3361 6.3361 8.0271
angles (deg): 90.00 90.00 120.00
Space group R3m (No. 160, hexagonal axes)
One atom of each set of equivalent atoms:
K1 0.0000 0.0000 0.0000
I1 0.0000 0.0000 0.4981
O1 0.0370 0.5185 0.0573

Top 8 peaks for 2θ = 15–90°, sorted by position:
- 2θ 19.6, intensity 96, hkl 1 0 1
- 2θ 27.5, intensity 100, hkl 0 1 2
- 2θ 28.2, intensity 84, hkl 1 1 0
- 2θ 39.8, intensity 58, hkl 2 0 2
- 2θ 45.2, intensity 18, hkl 2 1 1
- 2θ 48.3, intensity 20, hkl 1 0 4
- 2θ 49.5, intensity 32, hkl 1 2 2
- 2θ 64.6, intensity 20, hkl 2 1 4

---

(2)
Theoretical X-ray diffraction stick pattern of Er2InPd2 for CuKα, from a GGA-PBE-relaxed structure.
Lines closer than 0.1° are merged.

Structure:
a b c (Å): 7.7051 7.7051 3.6801
angles (deg): 90.00 90.00 90.00
Space group P4/mbm (No. 127)
One atom of each set of equivalent atoms:
Er1 0.1729 0.3271 0.0000
In1 0.0000 0.0000 0.5000
Pd1 0.1281 0.6281 0.5000

Top 8 peaks for 2θ = 15–90°, sorted by position:
- 2θ 33.7, intensity 32, hkl 2 0 1
- 2θ 35.7, intensity 100, hkl 2 1 1
- 2θ 36.9, intensity 42, hkl 3 1 0
- 2θ 49.5, intensity 14, hkl 0 0 2
- 2θ 55.1, intensity 15, hkl 4 1 1
- 2θ 63.3, intensity 17, hkl 3 1 2
- 2θ 70.6, intensity 12, hkl 5 2 1
- 2θ 83.7, intensity 14, hkl 2 1 3

---

(3)
Theoretical X-ray diffraction stick pattern of NbMo3C4 for CuKα, from a GGA-PBE-relaxed structure.
Lines closer than 0.1° are merged.

Structure:
a b c (Å): 3.1092 3.1092 30.9572
angles (deg): 90.00 90.00 120.00
Space group R-3m (No. 166, hexagonal axes)
One atom of each set of equivalent atoms:
Nb1 0.0000 0.0000 0.0000
Mo1 0.0000 0.0000 0.2504
Mo2 0.0000 0.0000 0.5000
C1 0.0000 0.0000 0.1254
C2 0.0000 0.0000 0.3762

Top 8 peaks for 2θ = 15–90°, sorted by position:
- 2θ 34.8, intensity 34, hkl 0 0 12
- 2θ 35.3, intensity 99, hkl 1 0 4
- 2θ 40.8, intensity 100, hkl 0 1 8
- 2θ 58.8, intensity 32, hkl 1 0 16
- 2θ 59.5, intensity 31, hkl 1 1 0
- 2θ 70.1, intensity 13, hkl 0 1 20
- 2θ 70.8, intensity 26, hkl 1 1 12
- 2θ 74.6, intensity 16, hkl 2 0 8

---

(4)
Theoretical X-ray diffraction stick pattern of HfMg14Al for CuKα, from a GGA-PBE-relaxed structure.
Lines closer than 0.1° are merged.

Structure:
a b c (Å): 6.3560 6.3560 10.1639
angles (deg): 90.00 90.00 120.00
Space group P-6m2 (No. 187)
One atom of each set of equivalent atoms:
Hf1 0.0000 0.0000 0.0000
Mg1 0.0050 0.5025 0.0000
Mg2 0.1622 0.3245 0.2506
Mg3 0.5009 0.0018 0.5000
Mg4 0.6667 0.3333 0.2447
Al1 0.0000 0.0000 0.5000

Top 8 peaks for 2θ = 15–90°, sorted by position:
- 2θ 16.1, intensity 39, hkl 1 0 0
- 2θ 18.3, intensity 51, hkl 1 0 1
- 2θ 23.8, intensity 27, hkl 1 0 2
- 2θ 32.5, intensity 29, hkl 2 0 0
- 2θ 35.3, intensity 25, hkl 0 0 4
- 2θ 37.2, intensity 100, hkl 2 0 2
- 2θ 64.6, intensity 19, hkl 2 0 6
- 2θ 69.8, intensity 19, hkl 2 2 4

---

(5)
Theoretical X-ray diffraction stick pattern of LiSc2Ag2O4 for CuKα, from a GGA-PBE-relaxed structure.
Lines closer than 0.1° are merged.

Structure:
a b c (Å): 3.1614 3.1614 14.4748
angles (deg): 90.00 90.00 120.00
Space group P3m1 (No. 156)
One atom of each set of equivalent atoms:
Li1 0.0000 0.0000 0.0000
Sc1 0.0000 0.0000 0.1780
Sc2 0.0000 0.0000 0.6159
Ag1 0.3333 0.6667 0.8425
Ag2 0.6667 0.3333 0.3956
O1 0.3333 0.6667 0.0933
O2 0.3333 0.6667 0.6860
O3 0.6667 0.3333 0.2468
O4 0.6667 0.3333 0.5392

Top 8 peaks for 2θ = 15–90°, sorted by position:
- 2θ 24.6, intensity 34, hkl 0 0 4
- 2θ 33.3, intensity 100, hkl 1 0 1
- 2θ 35.0, intensity 60, hkl 0 1 2
- 2θ 37.8, intensity 36, hkl 1 0 3
- 2θ 45.6, intensity 22, hkl 1 0 5
- 2θ 50.4, intensity 25, hkl 0 1 6
- 2θ 55.7, intensity 22, hkl 1 0 7
- 2θ 58.4, intensity 27, hkl 1 1 0

---

(6)
Theoretical X-ray diffraction stick pattern of TlSb for CuKα, from a GGA-PBE-relaxed structure.
Lines closer than 0.1° are merged.

Structure:
a b c (Å): 6.7920 6.7920 6.7920
angles (deg): 90.00 90.00 90.00
Space group F-43m (No. 216)
One atom of each set of equivalent atoms:
Tl1 0.0000 0.0000 0.0000
Sb1 0.2500 0.2500 0.7500

Top 8 peaks for 2θ = 15–90°, sorted by position:
- 2θ 22.7, intensity 100, hkl 1 1 1
- 2θ 37.5, intensity 78, hkl 2 2 0
- 2θ 44.2, intensity 52, hkl 3 1 1
- 2θ 54.0, intensity 14, hkl 4 0 0
- 2θ 59.3, intensity 22, hkl 3 3 1
- 2θ 67.6, intensity 28, hkl 4 2 2
- 2θ 72.3, intensity 16, hkl 5 1 1
- 2θ 84.4, intensity 17, hkl 5 3 1

---

(7)
Theoretical X-ray diffraction stick pattern of DyMn6Al6 for CuKα, from a GGA-PBE-relaxed structure.
Lines closer than 0.1° are merged.

Structure:
a b c (Å): 4.9077 8.6287 8.7861
angles (deg): 90.00 90.00 90.00
Space group Immm (No. 71)
One atom of each set of equivalent atoms:
Dy1 0.0000 0.0000 0.0000
Mn1 0.0000 0.2658 0.5000
Mn2 0.2500 0.2500 0.2500
Al1 0.0000 0.0000 0.3478
Al2 0.0000 0.3367 0.0000
Al3 0.0000 0.5000 0.3000

Top 8 peaks for 2θ = 15–90°, sorted by position:
- 2θ 20.8, intensity 33, hkl 1 1 0
- 2θ 29.2, intensity 37, hkl 1 1 2
- 2θ 29.4, intensity 67, hkl 1 2 1
- 2θ 41.1, intensity 47, hkl 0 0 4
- 2θ 41.6, intensity 77, hkl 1 2 3
- 2θ 41.8, intensity 100, hkl 0 4 0
- 2θ 42.2, intensity 75, hkl 2 0 2
- 2θ 42.4, intensity 40, hkl 2 2 0

---

(8)
Theoretical X-ray diffraction stick pattern of Zn2Cu10Sb4S13 for CuKα, from a GGA-PBE-relaxed structure.
Lines closer than 0.1° are merged.

Structure:
a b c (Å): 10.3994 10.3994 10.5147
angles (deg): 90.00 90.00 90.00
Space group I-42m (No. 121)
One atom of each set of equivalent atoms:
Zn1 0.0000 0.0000 0.2261
Cu1 0.0000 0.2239 0.0000
Cu2 0.0000 0.2534 0.5000
Cu3 0.0000 0.5000 0.2500
Sb1 0.2305 0.2305 0.2363
S1 0.0000 0.0000 0.0000
S2 0.1137 0.3650 0.8846
S3 0.1178 0.1178 0.6301

Top 8 peaks for 2θ = 15–90°, sorted by position:
- 2θ 29.6, intensity 100, hkl 2 2 2
- 2θ 34.1, intensity 9, hkl 0 0 4
- 2θ 34.5, intensity 16, hkl 4 0 0
- 2θ 49.3, intensity 35, hkl 4 0 4
- 2θ 49.6, intensity 16, hkl 4 4 0
- 2θ 58.3, intensity 11, hkl 2 2 6
- 2θ 58.8, intensity 20, hkl 6 2 2
- 2θ 80.0, intensity 7, hkl 6 2 6

---

(9)
Theoretical X-ray diffraction stick pattern of La2Sn3 for CuKα, from a GGA-PBE-relaxed structure.
Lines closer than 0.1° are merged.

Structure:
a b c (Å): 6.5738 8.7049 11.4080
angles (deg): 107.33 96.76 100.13
Space group P-1 (No. 2)
One atom of each set of equivalent atoms:
La1 0.0424 0.2484 0.4442
La2 0.1254 0.2539 0.8837
La3 0.3318 0.5322 0.2446
La4 0.4425 0.0694 0.1638
Sn1 0.0498 0.8523 0.8786
Sn2 0.1782 0.5388 0.7238
Sn3 0.2234 0.9062 0.3654
Sn4 0.3245 0.1015 0.6380
Sn5 0.3550 0.6657 0.9974
Sn6 0.4367 0.6683 0.5508

Top 8 peaks for 2θ = 15–90°, sorted by position:
- 2θ 28.6, intensity 26, hkl 1 2 0
- 2θ 31.2, intensity 24, hkl 2 1 -1
- 2θ 31.6, intensity 100, hkl 0 1 -4
- 2θ 31.7, intensity 71, hkl 0 2 2
- 2θ 31.9, intensity 65, hkl 0 3 -2
- 2θ 32.2, intensity 58, hkl 2 1 -2
- 2θ 35.3, intensity 28, hkl 2 0 2
- 2θ 36.6, intensity 26, hkl -2 1 3

---

Number 9 is which compound?
La2Sn3